Theoretical powder diffractogram
Compound: Li9Mn2Co5O16
Radiation: a wavelength of 1.5418 Å
Structure: DFT lattice parameters and positions (GGA+U)
Neutral-atom scattering factors, no anomalous dispersion.

Atomic structure:
Cell lengths 2.9566, 5.0865, 19.8672 Å; angles 92.47, 92.14, 103.83 degrees
Space group P1 (No. 1)
Asymmetric unit:
Li1 0.0000 0.0000 0.0000
Li2 0.0431 0.2941 0.8158
Li3 0.1645 0.9177 0.4410
Li4 0.2491 0.5357 0.0577
Li5 0.4177 0.1671 0.6917
Li6 0.5328 0.7913 0.3136
Li7 0.6662 0.4038 0.9408
Li8 0.7824 0.0476 0.5632
Li9 0.9282 0.6835 0.1882
Mn1 0.0998 0.6075 0.6280
Mn2 0.5983 0.1148 0.1204
Co1 0.2153 0.2327 0.2507
Co2 0.3650 0.8555 0.8811
Co3 0.4608 0.4779 0.5026
Co4 0.7326 0.7309 0.7534
Co5 0.8410 0.3498 0.3776
O1 0.0310 0.1111 0.9036
O2 0.0506 0.4660 0.7187
O3 0.1465 0.7433 0.5358
O4 0.1903 0.0930 0.3460
O5 0.2137 0.3585 0.1540
O6 0.3182 0.7042 0.9577
O7 0.4022 0.9820 0.7884
O8 0.4235 0.3424 0.5927
O9 0.4901 0.6095 0.4116
O10 0.5607 0.9764 0.2169
O11 0.6343 0.2638 0.0380
O12 0.6847 0.5975 0.8409
O13 0.7786 0.8739 0.6631
O14 0.7868 0.2195 0.4714
O15 0.8733 0.4942 0.2824
O16 0.9899 0.8698 0.0979

Top 10 peaks for 2θ = 15–90°, by intensity:
| 2θ (°) | I (rel.) |
| --- | --- |
| 18.3 | 100 |
| 41.6 | 32 |
| 44.1 | 26 |
| 44.6 | 26 |
| 34.7 | 18 |
| 36.3 | 12 |
| 36.7 | 12 |
| 62.3 | 8 |
| 62.2 | 8 |
| 62.4 | 8 |


Theoretical powder diffractogram
Compound: V2ZnO4
Radiation: a wavelength of 1.5418 Å
Structure: DFT lattice parameters and positions (GGA+U)
Neutral-atom scattering factors, no anomalous dispersion.

Atomic structure:
Cell lengths 10.5662, 6.0721, 14.8708 Å; angles 90.00, 90.98, 90.00 degrees
Space group Cm (No. 8)
Asymmetric unit:
V1 0.0000 0.0000 0.0000
V2 0.0042 0.0000 0.6210
V3 0.0081 0.0000 0.2458
V4 0.0856 0.2489 0.4561
V5 0.1691 0.5000 0.6642
V6 0.1754 0.5000 0.9142
V7 0.2543 0.2495 0.1236
V8 0.3322 0.0000 0.3352
V9 0.4216 0.2494 0.7898
Zn1 0.0039 0.5000 0.1238
Zn2 0.1713 0.5000 0.2899
Zn3 0.1736 0.0000 0.7895
Zn4 0.3359 0.5000 0.4566
Zn5 0.3365 0.0000 0.9566
Zn6 0.3424 0.0000 0.5809
O1 0.0008 0.5000 0.8668
O2 0.0080 0.0000 0.3770
O3 0.0080 0.5000 0.3809
O4 0.0792 0.2392 0.7075
O5 0.0949 0.2605 0.2026
O6 0.1572 0.0000 0.5363
O7 0.1648 0.5000 0.5341
O8 0.1759 0.0000 0.0453
O9 0.1791 0.5000 0.0463
O10 0.2429 0.2566 0.3789
O11 0.2633 0.2435 0.8690
O12 0.3292 0.0000 0.2016
O13 0.3324 0.5000 0.2006
O14 0.3449 0.0000 0.7167
O15 0.3487 0.5000 0.7082
O16 0.4120 0.2409 0.0438
O17 0.4309 0.2700 0.5387
O18 0.4990 0.5000 0.8662

Top 10 peaks for 2θ = 15–90°, by intensity:
| 2θ (°) | I (rel.) |
| --- | --- |
| 34.8 | 100 |
| 34.3 | 86 |
| 34.7 | 67 |
| 29.3 | 43 |
| 42.2 | 41 |
| 60.8 | 40 |
| 60.8 | 40 |
| 17.9 | 34 |
| 55.7 | 33 |
| 55.0 | 24 |


Theoretical powder diffractogram
Compound: Sr2TiMnO6
Radiation: a wavelength of 1.5418 Å
Structure: DFT lattice parameters and positions (GGA+U)
Neutral-atom scattering factors, no anomalous dispersion.

Atomic structure:
Cell lengths 7.7865, 7.7865, 7.7865 Å; angles 90.00, 90.00, 90.00 degrees
Space group Fm-3m (No. 225)
Asymmetric unit:
Sr1 0.2500 0.2500 0.2500
Ti1 0.0000 0.0000 0.0000
Mn1 0.0000 0.0000 0.5000
O1 0.0000 0.0000 0.2525

Top 10 peaks for 2θ = 15–90°, by intensity:
| 2θ (°) | I (rel.) |
| --- | --- |
| 32.5 | 100 |
| 46.7 | 40 |
| 58.0 | 37 |
| 68.1 | 23 |
| 40.1 | 18 |
| 77.5 | 16 |
| 86.6 | 8 |
| 82.1 | 5 |
| 22.8 | 2 |
| 52.6 | 2 |


Theoretical powder diffractogram
Compound: Li2FeSi4O11
Radiation: a wavelength of 1.5418 Å
Structure: DFT lattice parameters and positions (GGA+U)
Neutral-atom scattering factors, no anomalous dispersion.

Atomic structure:
Cell lengths 10.8659, 9.6815, 8.2933 Å; angles 90.00, 102.09, 90.00 degrees
Space group C2/c (No. 15)
Asymmetric unit:
Li1 0.0000 0.0804 0.2500
Li2 0.0000 0.3513 0.2500
Fe1 0.2500 0.2500 0.5000
Si1 0.0474 0.2055 0.9350
Si2 0.2195 0.4383 0.8415
O1 0.0000 0.1339 0.7500
O2 0.0549 0.2150 0.4491
O3 0.1066 0.3563 0.9076
O4 0.1498 0.0924 0.0256
O5 0.1911 0.3968 0.3243
O6 0.2348 0.3869 0.6611

Top 10 peaks for 2θ = 15–90°, by intensity:
| 2θ (°) | I (rel.) |
| --- | --- |
| 28.7 | 100 |
| 26.9 | 83 |
| 17.6 | 63 |
| 23.6 | 62 |
| 30.4 | 60 |
| 16.7 | 53 |
| 18.3 | 50 |
| 31.0 | 47 |
| 21.9 | 39 |
| 25.8 | 39 |


Theoretical powder diffractogram
Compound: BaMoO3
Radiation: a wavelength of 1.5418 Å
Structure: DFT lattice parameters and positions (GGA+U)
Neutral-atom scattering factors, no anomalous dispersion.

Atomic structure:
Cell lengths 4.1491, 4.1491, 4.1491 Å; angles 90.00, 90.00, 90.00 degrees
Space group Pm-3m (No. 221)
Asymmetric unit:
Ba1 0.0000 0.0000 0.0000
Mo1 0.5000 0.5000 0.5000
O1 0.0000 0.5000 0.5000

Top 10 peaks for 2θ = 15–90°, by intensity:
| 2θ (°) | I (rel.) |
| --- | --- |
| 30.5 | 100 |
| 54.1 | 39 |
| 43.6 | 31 |
| 88.1 | 21 |
| 63.4 | 19 |
| 72.0 | 17 |
| 80.1 | 6 |
| 37.5 | 6 |
| 76.1 | 2 |
| 21.4 | 1 |


Theoretical powder diffractogram
Compound: Ca2SbWO6
Radiation: a wavelength of 1.5418 Å
Structure: DFT lattice parameters and positions (GGA+U)
Neutral-atom scattering factors, no anomalous dispersion.

Atomic structure:
Cell lengths 5.6582, 5.9463, 6.0984 Å; angles 72.95, 66.06, 64.62 degrees
Space group P1 (No. 1)
Asymmetric unit:
Ca1 0.0000 0.0000 0.0000
Ca2 0.4926 0.4364 0.4229
Sb1 0.7721 0.6217 0.7789
W1 0.2392 0.0421 0.3861
O1 0.1043 0.2996 0.6360
O2 0.3237 0.7896 0.1858
O3 0.5327 0.1544 0.1967
O4 0.5346 0.7455 0.5703
O5 0.9483 0.2567 0.2577
O6 0.9772 0.8606 0.6756

Top 10 peaks for 2θ = 15–90°, by intensity:
| 2θ (°) | I (rel.) |
| --- | --- |
| 20.1 | 100 |
| 20.0 | 93 |
| 30.7 | 74 |
| 21.5 | 69 |
| 28.2 | 60 |
| 29.0 | 57 |
| 31.7 | 55 |
| 24.9 | 54 |
| 30.1 | 49 |
| 16.1 | 42 |


Theoretical powder diffractogram
Compound: Zn2MoSeO7
Radiation: a wavelength of 1.5418 Å
Structure: DFT lattice parameters and positions (GGA+U)
Neutral-atom scattering factors, no anomalous dispersion.

Atomic structure:
Cell lengths 5.2500, 8.4901, 7.2688 Å; angles 90.00, 98.48, 90.00 degrees
Space group P2_1 (No. 4)
Asymmetric unit:
Zn1 0.0344 0.0000 0.2736
Zn2 0.4372 0.8203 0.9915
Mo1 0.4258 0.3323 0.4850
Se1 0.0424 0.1226 0.8822
O1 0.1627 0.6558 0.9520
O2 0.2046 0.3024 0.8763
O3 0.2174 0.4857 0.5457
O4 0.2495 0.1518 0.4538
O5 0.2642 0.0253 0.0457
O6 0.3013 0.8142 0.3296
O7 0.4732 0.8822 0.7326

Top 10 peaks for 2θ = 15–90°, by intensity:
| 2θ (°) | I (rel.) |
| --- | --- |
| 27.1 | 100 |
| 24.9 | 37 |
| 28.0 | 37 |
| 45.3 | 26 |
| 32.6 | 21 |
| 34.0 | 16 |
| 24.4 | 16 |
| 24.8 | 16 |
| 50.7 | 14 |
| 26.9 | 12 |


Repeat the third record exactly.
Theoretical powder diffractogram
Compound: Sr2TiMnO6
Radiation: a wavelength of 1.5418 Å
Structure: DFT lattice parameters and positions (GGA+U)
Neutral-atom scattering factors, no anomalous dispersion.

Atomic structure:
Cell lengths 7.7865, 7.7865, 7.7865 Å; angles 90.00, 90.00, 90.00 degrees
Space group Fm-3m (No. 225)
Asymmetric unit:
Sr1 0.2500 0.2500 0.2500
Ti1 0.0000 0.0000 0.0000
Mn1 0.0000 0.0000 0.5000
O1 0.0000 0.0000 0.2525

Top 10 peaks for 2θ = 15–90°, by intensity:
| 2θ (°) | I (rel.) |
| --- | --- |
| 32.5 | 100 |
| 46.7 | 40 |
| 58.0 | 37 |
| 68.1 | 23 |
| 40.1 | 18 |
| 77.5 | 16 |
| 86.6 | 8 |
| 82.1 | 5 |
| 22.8 | 2 |
| 52.6 | 2 |